(1)
For NaPaGaCl6, DFT lattice parameters and positions (GGA-PBE) gives the simulated X-ray powder pattern in this record (CuKα).
Peak positions follow from Bragg's law for the DFT cell and can differ from measured ones.

Principal peaks in the range 2θ = 10–90°, by angle:
2θ 13.66, intensity 28, (0 0 2); 2θ 15.86, intensity 100, (1 0 1); 2θ 19.83, intensity 72, (1 0 2); 2θ 24.91, intensity 24, (1 1 0); 2θ 25.13, intensity 27, (1 0 3); 2θ 28.52, intensity 45, (1 1 2); 2θ 32.04, intensity 21, (2 0 2); 2θ 37.46, intensity 65, (1 1 4); 2θ 41.00, intensity 23, (2 1 2); 2θ 43.87, intensity 30, (3 0 0)

Atomic structure:
```
data_NaPaGaCl6
_chemical_formula_sum 'Na2 Pa2 Ga2 Cl12'
_symmetry_space_group_name_H-M 'P -3 1 c'
_symmetry_Int_Tables_number 163
_symmetry_space_group_name_Hall '-P 3 2c'
_cell_length_a 7.1495
_cell_length_b 7.1495
_cell_length_c 12.9620
_cell_angle_alpha 90.00
_cell_angle_beta 90.00
_cell_angle_gamma 120.00
loop_
_atom_site_label
_atom_site_fract_x
_atom_site_fract_y
_atom_site_fract_z
Na1 0.3333 0.6667 0.2500
Pa1 0.3333 0.6667 0.7500
Ga1 0.0000 0.0000 0.0000
Cl1 0.0205 0.3658 0.6338
```

---

(2)
For NaZnGaCl4, DFT lattice parameters and positions (GGA-PBE) gives the simulated X-ray powder pattern in this record (CuKα).
Peak positions follow from Bragg's law for the DFT cell and can differ from measured ones.

Principal peaks in the range 2θ = 10–90°, by angle:
2θ 14.93, intensity 92, (1 0 -1); 2θ 19.75, intensity 67, (1 0 1); 2θ 23.37, intensity 35, (1 1 1); 2θ 24.88, intensity 70, (0 2 0); 2θ 28.33, intensity 70, (1 2 0); 2θ 32.05, intensity 77, (1 1 2); 2θ 32.67, intensity 100, (2 1 -2); 2θ 36.93, intensity 49, (2 2 0); 2θ 42.14, intensity 41, (2 1 2); 2θ 44.45, intensity 40, (1 0 -4)

Atomic structure:
```
data_NaZnGaCl4
_chemical_formula_sum 'Na2 Zn2 Ga2 Cl8'
_symmetry_space_group_name_H-M 'P 1 21/m 1'
_symmetry_Int_Tables_number 11
_cell_length_a 6.9060
_cell_length_b 7.1571
_cell_length_c 8.1542
_cell_angle_alpha 90.00
_cell_angle_beta 105.92
_cell_angle_gamma 90.00
loop_
_symmetry_equiv_pos_as_xyz
'x,y,z'
'-x,-y,-z'
'-x,y+1/2,-z'
'x,-y+1/2,z'
loop_
_atom_site_label
_atom_site_fract_x
_atom_site_fract_y
_atom_site_fract_z
Na1 0.2127 0.2500 0.0631
Zn1 0.2561 0.7500 0.8175
Ga1 0.2514 0.2500 0.5959
Cl1 0.0365 0.5012 0.7764
Cl2 0.4554 0.7500 0.0949
Cl3 0.4599 0.7500 0.6439
```

---

(3)
For Nd8GaOs3Cl4, DFT lattice parameters and positions (GGA-PBE) gives the simulated X-ray powder pattern in this record (CuKα).
Peak positions follow from Bragg's law for the DFT cell and can differ from measured ones.

Principal peaks in the range 2θ = 10–90°, by angle:
2θ 11.77, intensity 50, (0 0 1); 2θ 29.45, intensity 100, (4 0 0); 2θ 37.47, intensity 21, (2 2 -3); 2θ 40.66, intensity 32, (2 2 2); 2θ 43.57, intensity 37, (0 4 0); 2θ 45.29, intensity 12, (6 2 -3); 2θ 51.29, intensity 13, (4 0 -5); 2θ 53.47, intensity 18, (4 4 0); 2θ 61.11, intensity 9, (8 0 0); 2θ 71.35, intensity 15, (10 2 -2)

Atomic structure:
```
data_Nd8GaOs3Cl4
_chemical_formula_sum 'Nd16 Ga2 Os6 Cl8'
_symmetry_space_group_name_H-M 'C 1 2/m 1'
_symmetry_Int_Tables_number 12
_cell_length_a 14.3868
_cell_length_b 8.3116
_cell_length_c 8.9217
_cell_angle_alpha 90.00
_cell_angle_beta 122.59
_cell_angle_gamma 90.00
loop_
_symmetry_equiv_pos_as_xyz
'x,y,z'
'-x,-y,-z'
'-x,y,-z'
'x,-y,z'
'x+1/2,y+1/2,z'
'-x+1/2,-y+1/2,-z'
'-x+1/2,y+1/2,-z'
'x+1/2,-y+1/2,z'
loop_
_atom_site_label
_atom_site_fract_x
_atom_site_fract_y
_atom_site_fract_z
Nd1 0.0187 0.2387 0.2957
Nd2 0.2379 0.0000 0.7129
Nd3 0.2425 0.5000 0.7043
Ga1 0.0000 0.5000 0.5000
Os1 0.0000 0.0000 0.5000
Os2 0.2500 0.2500 0.5000
Cl1 0.0000 0.0000 0.0000
Cl2 0.0000 0.5000 0.0000
Cl3 0.2500 0.2500 0.0000
```

---

(4)
For NpGaSnCl6, DFT lattice parameters and positions (GGA-PBE) gives the simulated X-ray powder pattern in this record (CuKα).
Peak positions follow from Bragg's law for the DFT cell and can differ from measured ones.

Principal peaks in the range 2θ = 10–90°, by angle:
2θ 15.77, intensity 52, (1 0 1); 2θ 20.12, intensity 100, (1 0 2); 2θ 24.43, intensity 41, (1 1 0); 2θ 28.45, intensity 40, (1 1 2); 2θ 31.85, intensity 32, (2 0 2); 2θ 38.22, intensity 74, (1 1 4); 2θ 40.55, intensity 34, (2 1 2); 2θ 43.00, intensity 36, (3 0 0); 2θ 58.87, intensity 20, (4 -2 4); 2θ 75.62, intensity 20, (4 1 4)

Atomic structure:
```
data_NpGaSnCl6
_chemical_formula_sum 'Np2 Ga2 Sn2 Cl12'
_symmetry_space_group_name_H-M 'P -3 1 c'
_symmetry_Int_Tables_number 163
_symmetry_space_group_name_Hall '-P 3 2c'
_cell_length_a 7.2867
_cell_length_b 7.2867
_cell_length_c 12.3455
_cell_angle_alpha 90.00
_cell_angle_beta 90.00
_cell_angle_gamma 120.00
loop_
_atom_site_label
_atom_site_fract_x
_atom_site_fract_y
_atom_site_fract_z
Np1 0.3333 0.6667 0.2500
Ga1 0.3333 0.6667 0.7500
Sn1 0.0000 0.0000 0.0000
Cl1 0.0291 0.3484 0.1258
```

---

(5)
For NpTlGa2Cl8, DFT lattice parameters and positions (GGA-PBE) gives the simulated X-ray powder pattern in this record (CuKα).
Peak positions follow from Bragg's law for the DFT cell and can differ from measured ones.

Principal peaks in the range 2θ = 10–90°, by angle:
2θ 12.63, intensity 57, (0 1 0); 2θ 13.27, intensity 49, (1 0 0); 2θ 18.26, intensity 96, (1 -1 0); 2θ 18.46, intensity 100, (1 1 0); 2θ 23.47, intensity 55, (0 1 2); 2θ 23.83, intensity 83, (1 0 2); 2θ 27.13, intensity 57, (1 1 2); 2θ 35.75, intensity 44, (2 -1 2); 2θ 35.97, intensity 51, (2 1 2); 2θ 43.65, intensity 37, (0 3 2)

Atomic structure:
```
data_NpTlGa2Cl8
_chemical_formula_sum 'Np1 Tl1 Ga2 Cl8'
_symmetry_space_group_name_H-M 'P -1'
_symmetry_Int_Tables_number 2
_cell_length_a 6.6722
_cell_length_b 7.0074
_cell_length_c 9.0111
_cell_angle_alpha 90.09
_cell_angle_beta 90.14
_cell_angle_gamma 90.63
loop_
_symmetry_equiv_pos_as_xyz
'x,y,z'
'-x,-y,-z'
loop_
_atom_site_label
_atom_site_fract_x
_atom_site_fract_y
_atom_site_fract_z
Np1 0.0000 0.0000 0.0000
Tl1 0.0000 0.0000 0.5000
Ga1 0.4990 0.5000 0.2817
Cl1 0.2193 0.7106 0.9996
Cl2 0.2213 0.1503 0.2035
Cl3 0.2206 0.1510 0.7978
Cl4 0.2973 0.6508 0.5003
```

---

(6)
For PaGaCl5, DFT lattice parameters and positions (GGA-PBE) gives the simulated X-ray powder pattern in this record (CuKα).
Peak positions follow from Bragg's law for the DFT cell and can differ from measured ones.

Principal peaks in the range 2θ = 10–90°, by angle:
2θ 12.86, intensity 74, (1 1 0); 2θ 16.10, intensity 80, (2 0 0); 2θ 19.62, intensity 100, (1 1 -2); 2θ 20.12, intensity 41, (0 2 0); 2θ 25.23, intensity 21, (3 1 -2); 2θ 25.88, intensity 20, (2 2 0); 2θ 32.53, intensity 25, (4 0 0); 2θ 34.02, intensity 20, (2 0 -4); 2θ 34.93, intensity 31, (1 3 -2); 2θ 38.53, intensity 34, (4 2 0)

Atomic structure:
```
data_PaGaCl5
_chemical_formula_sum 'Pa4 Ga4 Cl20'
_symmetry_space_group_name_H-M 'C 1 2/c 1'
_symmetry_Int_Tables_number 15
_cell_length_a 12.3184
_cell_length_b 8.8248
_cell_length_c 10.5436
_cell_angle_alpha 90.00
_cell_angle_beta 116.64
_cell_angle_gamma 90.00
loop_
_symmetry_equiv_pos_as_xyz
'x,y,z'
'-x,-y,-z'
'-x,y,-z+1/2'
'x,-y,z+1/2'
'x+1/2,y+1/2,z'
'-x+1/2,-y+1/2,-z'
'-x+1/2,y+1/2,-z+1/2'
'x+1/2,-y+1/2,z+1/2'
loop_
_atom_site_label
_atom_site_fract_x
_atom_site_fract_y
_atom_site_fract_z
Pa1 0.0000 0.0000 0.0000
Ga1 0.0000 0.4943 0.2500
Cl1 0.0000 0.0943 0.2500
Cl2 0.0466 0.2848 0.9660
Cl3 0.2307 0.0567 0.6366
```